The following is a theoretical PXRD pattern of Li2MgCo3O8. It was derived from a crystal structure in Alexandria, relaxed with GGA+U, using Cu Kα X-rays.
Kinematic intensities with the Lorentz-polarization factor, no thermal factor.

Structural model:
a = 9.9399 Å, b = 5.7367 Å, c = 5.9387 Å
α = 90.00°, β = 124.85°, γ = 90.00°
Space group C2/m (No. 12)
Asymmetric unit:
Li 0.0000 0.0000 0.0000 x2
Li 0.0000 0.5000 0.0000 x2
Mg 0.0000 0.0000 0.5000 x2
Co 0.0000 0.5000 0.5000 x2
Co 0.2500 0.2500 0.5000 x4
O 0.0208 0.2665 0.2942 x8
O 0.2387 0.5000 0.7056 x4
O 0.2478 0.0000 0.6995 x4

Most intense lines, 10 to 90 degrees two-theta, sorted by position:
(hkl)  d [Å]  I_rel
0 0 1  4.874  100
2 0 -1  4.729  6
1 1 0  4.692  6
2 2 -1  2.453  20
4 0 -1  2.441  14
2 2 -2  2.063  37
4 0 0  2.039  18
2 2 -3  1.605  10
2 2 2  1.466  9
0 4 0  1.434  15